Theoretical PXRD pattern of KCuTe2IrS for a wavelength of 1.5418 Å, from a GGA-PBE-relaxed structure.
Lines closer than 0.1° are merged.

The 6 most intense peaks (2θ from 5° to 70°), sorted by position:
11.45°, I = 100
18.06°, I = 34
28.30°, I = 27
33.78°, I = 54
36.59°, I = 20
41.27°, I = 51

Crystal structure
Cell: 7.982 7.982 9.824 Å, 90.00 90.00 151.07°
Element x y z (fractional)
K 0.244 0.756 0.750
K 0.756 0.244 0.250
Cu 0.020 0.980 0.250
Cu 0.980 0.020 0.750
Te 0.115 0.885 0.036
Te 0.115 0.885 0.464
Te 0.885 0.115 0.536
Te 0.885 0.115 0.964
Ir 0.500 0.500 0.000
Ir 0.500 0.500 0.500
S 0.443 0.557 0.250
S 0.557 0.443 0.750

Theoretical PXRD pattern of Na3Fe2Se4 for a wavelength of 1.5418 Å, from a GGA-PBE-relaxed structure.
Lines closer than 0.1° are merged.

The 6 most intense peaks (2θ from 5° to 70°), sorted by position:
15.17°, I = 100
26.46°, I = 93
28.54°, I = 85
32.02°, I = 62
32.46°, I = 42
50.11°, I = 44

Crystal structure
Cell: 6.853 10.742 11.155 Å, 90.00 90.00 90.00°
Element x y z (fractional)
Na 0.063 0.076 0.138
Na 0.063 0.424 0.138
Na 0.078 0.250 0.751
Na 0.422 0.750 0.251
Na 0.437 0.576 0.638
Na 0.437 0.924 0.638
Na 0.563 0.076 0.362
Na 0.563 0.424 0.362
Na 0.578 0.250 0.749
Na 0.922 0.750 0.249
Na 0.937 0.576 0.862
Na 0.937 0.924 0.862
Fe 0.052 0.127 0.471
Fe 0.052 0.373 0.471
Fe 0.448 0.627 0.971
Fe 0.448 0.873 0.971
Fe 0.552 0.127 0.029
Fe 0.552 0.373 0.029
Fe 0.948 0.627 0.529
Fe 0.948 0.873 0.529
Se 0.111 0.750 0.675
Se 0.174 0.557 0.377
Se 0.174 0.943 0.377
Se 0.175 0.750 0.038
Se 0.325 0.250 0.538
Se 0.326 0.057 0.877
Se 0.326 0.443 0.877
Se 0.389 0.250 0.175
Se 0.611 0.750 0.825
Se 0.674 0.557 0.123
Se 0.674 0.943 0.123
Se 0.675 0.750 0.462
Se 0.825 0.250 0.962
Se 0.826 0.057 0.623
Se 0.826 0.443 0.623
Se 0.889 0.250 0.325